Computed powder diffraction line list of LiMnSiO4 for copper Kα, from DFT lattice parameters and positions (PBE+U).

Main lines, low angle first (10° ≤ 2θ ≤ 80°):
(1 0 0), 2θ = 15.87°, I 66
(1 1 1), 2θ = 24.79°, I 77
(1 0 2), 2θ = 26.06°, I 55
(1 0 3), 2θ = 35.02°, I 88
(2 1 1), 2θ = 37.49°, I 100
(2 2 4), 2θ = 63.84°, I 87

Cell and atoms:
Unit cell a=5.583 b=5.583 c=8.650 alpha=90.00 beta=90.00 gamma=90.00
Element x y z (fractional)
1 Li 0.000 0.227 0.000
2 Li 0.000 0.773 0.500
3 Li 0.227 0.000 0.250
4 Li 0.773 0.000 0.750
5 Mn 0.231 0.500 0.250
6 Mn 0.500 0.231 0.000
7 Mn 0.500 0.769 0.500
8 Mn 0.769 0.500 0.750
9 Si 0.263 0.263 0.625
10 Si 0.263 0.737 0.875
11 Si 0.737 0.263 0.375
12 Si 0.737 0.737 0.125
13 O 0.016 0.259 0.732
14 O 0.016 0.741 0.768
15 O 0.259 0.016 0.518
16 O 0.259 0.984 0.982
17 O 0.260 0.493 0.989
18 O 0.260 0.507 0.511
19 O 0.493 0.260 0.261
20 O 0.493 0.740 0.239
21 O 0.507 0.260 0.739
22 O 0.507 0.740 0.761
23 O 0.740 0.493 0.011
24 O 0.740 0.507 0.489
25 O 0.741 0.016 0.482
26 O 0.741 0.984 0.018
27 O 0.984 0.259 0.268
28 O 0.984 0.741 0.232